The following is a theoretical XRD peak list of CoRh2O6. It was derived from a PBE+U-relaxed structure, using Cu Kα (λ = 1.5418 Å).

Atomic structure:
Cell: 5.1830 5.1830 10.6479 Å, 94.75 94.75 120.06°
Sites, in units of the cell vectors:
Co 0.0000 0.0000 0.0000
Rh 0.3330 0.6670 0.0000
Rh 0.6670 0.3330 0.0000
O 0.0314 0.7109 0.0909
O 0.2891 0.9686 0.9091
O 0.3502 0.3502 0.0909
O 0.6498 0.6498 0.9091
O 0.7109 0.0314 0.0909
O 0.9686 0.2891 0.9091

Principal peaks in the range 10 to 90 degrees two-theta, in order of falling intensity:
2θ/deg  intensity
16.9  100
35.1  31
37.5  25
25.4  24
41.7  24
34.7  21
47.3  17
36.5  13
37.6  13
62.7  13
41.8  12
40.2  11

The following is a theoretical XRD peak list of MgFe6Sb10I6O18. It was derived from a PBE+U-relaxed structure, using Cu Kα (λ = 1.5418 Å).

Atomic structure:
Cell: 8.1899 9.8818 12.5012 Å, 78.05 85.80 71.94°
Sites, in units of the cell vectors:
Mg 0.0000 0.0000 0.0000
Fe 0.1960 0.5214 0.1343
Fe 0.2508 0.4394 0.3888
Fe 0.4994 0.5038 0.9158
Fe 0.6136 0.4067 0.1905
Fe 0.8395 0.5636 0.3234
Fe 0.9412 0.4597 0.6079
Sb 0.0228 0.2361 0.2809
Sb 0.0329 0.7662 0.4725
Sb 0.1018 0.6286 0.7698
Sb 0.3386 0.2958 0.7665
Sb 0.4250 0.7265 0.2478
Sb 0.4273 0.1861 0.0673
Sb 0.4791 0.6200 0.5224
Sb 0.6903 0.2821 0.5024
Sb 0.7544 0.6806 0.0202
Sb 0.9965 0.2891 0.0029
I 0.1234 0.1770 0.5725
I 0.2976 0.8119 0.9216
I 0.4971 0.1542 0.3322
I 0.7255 0.7471 0.6759
I 0.7346 0.1702 0.8375
I 0.9154 0.8591 0.2057
O 0.0005 0.5873 0.0391
O 0.0150 0.5727 0.4561
O 0.0755 0.4264 0.2791
O 0.0872 0.4363 0.7379
O 0.1674 0.6868 0.6136
O 0.1875 0.2194 0.1292
O 0.2709 0.7229 0.4031
O 0.2967 0.2221 0.9237
O 0.3581 0.4873 0.7978
O 0.3725 0.5406 0.2420
O 0.4206 0.3916 0.0642
O 0.4446 0.4303 0.4885
O 0.5954 0.6666 0.3731
O 0.6691 0.6146 0.1770
O 0.6975 0.5203 0.9757
O 0.7225 0.4463 0.5611
O 0.7796 0.3550 0.3535
O 0.8586 0.2963 0.1552

Principal peaks in the range 10 to 90 degrees two-theta, in order of falling intensity:
2θ/deg  intensity
26.9  100
29.6  93
27.3  67
19.3  63
36.4  62
34.1  49
28.0  47
34.4  41
19.1  33
24.1  33
31.8  32
46.1  27